# 1
Calculated PXRD pattern
Compound: Nd3Sm2Sb3
Radiation: a wavelength of 1.5418 Å
Structure: a DFT-relaxed cell (PBE, OQMD)

Principal peaks in the range 10 to 90 degrees two-theta, low angle first:
two_theta, Rel. int., hkl
27.49, 17, 0 0 2
29.43, 32, 2 1 0
29.70, 18, 1 0 2
32.57, 100, 2 1 1
33.48, 57, 3 0 0
33.72, 88, 1 1 2
48.25, 23, 2 2 2
51.91, 27, 2 1 3
64.77, 15, 5 0 2
67.52, 15, 3 0 4

Cell and atoms:
```
data_Nd3Sm2Sb3
_chemical_formula_sum 'Nd6 Sm4 Sb6'
_space_group_name_H-M_alt 'P 63/m c m'
_space_group_IT_number 193
_space_group_name_Hall '-P 6c 2'
_cell_length_a 9.2726
_cell_length_b 9.2726
_cell_length_c 6.4881
_cell_angle_alpha 90.00
_cell_angle_beta 90.00
_cell_angle_gamma 120.00
loop_
_atom_site_label
_atom_site_type_symbol
_atom_site_fract_x
_atom_site_fract_y
_atom_site_fract_z
_atom_site_occupancy
Nd1 Nd 0.0000 0.2493 0.2500 1
Sm1 Sm 0.3333 0.6667 0.0000 1
Sb1 Sb 0.0000 0.3890 0.7500 1
```


# 2
Calculated PXRD pattern
Compound: SrNdSb2
Radiation: a wavelength of 1.5418 Å
Structure: a DFT-relaxed cell (PBE, OQMD)

Principal peaks in the range 10 to 90 degrees two-theta, low angle first:
two_theta, Rel. int., hkl
21.43, 22, 1 1 0
24.88, 67, 1 1 1
33.25, 100, 1 1 2
37.57, 63, 3 0 0
44.11, 17, 1 1 3
45.59, 13, 2 2 1
51.04, 29, 2 2 2
65.08, 28, 4 1 2
65.53, 23, 3 0 4
89.62, 12, 5 2 2

Cell and atoms:
```
data_SrNdSb2
_chemical_formula_sum 'Sr3 Nd3 Sb6'
_space_group_name_H-M_alt 'P -6 2 m'
_space_group_IT_number 189
_space_group_name_Hall 'P -6 -2'
_cell_length_a 8.2924
_cell_length_b 8.2924
_cell_length_c 7.0899
_cell_angle_alpha 90.00
_cell_angle_beta 90.00
_cell_angle_gamma 120.00
loop_
_atom_site_label
_atom_site_type_symbol
_atom_site_fract_x
_atom_site_fract_y
_atom_site_fract_z
_atom_site_occupancy
Sr1 Sr 0.0000 0.6658 0.0000 1
Nd1 Nd 0.0000 0.3327 0.5000 1
Sb1 Sb 0.0000 0.0000 0.2613 1
Sb2 Sb 0.3333 0.6667 0.2630 1
```


# 3
Calculated PXRD pattern
Compound: NdTm2Sb3
Radiation: a wavelength of 1.5418 Å
Structure: a DFT-relaxed cell (PBE, OQMD)

Principal peaks in the range 10 to 90 degrees two-theta, low angle first:
two_theta, Rel. int., hkl
24.81, 4, 0 0 3
28.72, 100, 1 0 2
41.07, 76, 1 1 0
48.58, 3, 0 1 5
50.89, 27, 0 2 2
59.48, 13, 2 0 4
65.46, 1, 0 1 7
67.37, 34, 2 1 2
74.83, 25, 3 0 0
89.10, 8, 2 2 0

Cell and atoms:
```
data_NdTm2Sb3
_chemical_formula_sum 'Nd1 Tm2 Sb3'
_space_group_name_H-M_alt 'P -3 m 1'
_space_group_IT_number 164
_space_group_name_Hall '-P 3 2"'
_cell_length_a 4.3969
_cell_length_b 4.3969
_cell_length_c 10.7595
_cell_angle_alpha 90.00
_cell_angle_beta 90.00
_cell_angle_gamma 120.00
loop_
_atom_site_label
_atom_site_type_symbol
_atom_site_fract_x
_atom_site_fract_y
_atom_site_fract_z
_atom_site_occupancy
Nd1 Nd 0.0000 0.0000 0.0000 1
Tm1 Tm 0.3333 0.6667 0.3379 1
Sb1 Sb 0.0000 0.0000 0.5000 1
Sb2 Sb 0.3333 0.6667 0.8228 1
```


# 4
Calculated PXRD pattern
Compound: NdTmZr2Sb2
Radiation: a wavelength of 1.5418 Å
Structure: a DFT-relaxed cell (PBE, OQMD)

Principal peaks in the range 10 to 90 degrees two-theta, low angle first:
two_theta, Rel. int., hkl
29.32, 46, 1 1 0
31.24, 89, 1 1 2
31.99, 38, 0 0 6
33.85, 63, 1 0 5
36.45, 100, 1 1 4
41.94, 70, 2 0 0
53.71, 35, 2 0 6
54.95, 31, 2 1 5
60.81, 23, 2 2 0
73.02, 25, 3 1 4

Cell and atoms:
```
data_NdTmZr2Sb2
_chemical_formula_sum 'Nd2 Tm2 Zr4 Sb4'
_space_group_name_H-M_alt 'I 4 m m'
_space_group_IT_number 107
_space_group_name_Hall 'I 4 -2'
_cell_length_a 4.3081
_cell_length_b 4.3081
_cell_length_c 16.7844
_cell_angle_alpha 90.00
_cell_angle_beta 90.00
_cell_angle_gamma 90.00
loop_
_atom_site_label
_atom_site_type_symbol
_atom_site_fract_x
_atom_site_fract_y
_atom_site_fract_z
_atom_site_occupancy
Nd1 Nd 0.0000 0.0000 0.0000 1
Tm1 Tm 0.0000 0.0000 0.3530 1
Zr1 Zr 0.0000 0.5000 0.1799 1
Sb1 Sb 0.0000 0.0000 0.5481 1
Sb2 Sb 0.0000 0.0000 0.8101 1
```


# 5
Calculated PXRD pattern
Compound: NdYSc6
Radiation: a wavelength of 1.5418 Å
Structure: a DFT-relaxed cell (PBE, OQMD)

Principal peaks in the range 10 to 90 degrees two-theta, low angle first:
two_theta, Rel. int., hkl
22.63, 28, 1 1 1
26.37, 12, 0 2 0
30.54, 25, 0 2 2
33.81, 25, 2 0 0
35.02, 100, 1 0 4
46.20, 15, 2 2 2
54.27, 20, 0 4 0
61.27, 18, 3 0 4
65.50, 19, 2 4 0
66.25, 14, 1 4 4

Cell and atoms:
```
data_NdYSc6
_chemical_formula_sum 'Nd2 Y2 Sc12'
_space_group_name_H-M_alt 'A m m 2'
_space_group_IT_number 38
_space_group_name_Hall 'A 2 -2'
_cell_length_a 5.3017
_cell_length_b 6.7581
_cell_length_c 11.7120
_cell_angle_alpha 90.00
_cell_angle_beta 90.00
_cell_angle_gamma 90.00
loop_
_atom_site_label
_atom_site_type_symbol
_atom_site_fract_x
_atom_site_fract_y
_atom_site_fract_z
_atom_site_occupancy
Nd1 Nd 0.0000 0.0000 0.0000 1
Y1 Y 0.5000 0.0000 0.3348 1
Sc1 Sc 0.0000 0.0000 0.5055 1
Sc2 Sc 0.0000 0.2439 0.7483 1
Sc3 Sc 0.5000 0.0000 0.8290 1
Sc4 Sc 0.5000 0.2427 0.5871 1
```


# 6
Calculated PXRD pattern
Compound: Nd2Se
Radiation: a wavelength of 1.5418 Å
Structure: a DFT-relaxed cell (PBE, OQMD)

Principal peaks in the range 10 to 90 degrees two-theta, low angle first:
two_theta, Rel. int., hkl
29.03, 30, 1 0 2
30.77, 35, 0 0 3
30.87, 100, 1 1 1
35.77, 57, 1 1 2
37.23, 22, 1 0 3
41.59, 46, 2 0 0
51.41, 19, 1 1 4
52.61, 31, 2 0 3
60.27, 15, 2 2 0
69.23, 33, 2 2 3

Cell and atoms:
```
data_Nd2Se
_chemical_formula_sum 'Nd4 Se2'
_space_group_name_H-M_alt 'P 4/n m m'
_space_group_IT_number 129
_cell_length_a 4.3430
_cell_length_b 4.3430
_cell_length_c 8.7185
_cell_angle_alpha 90.00
_cell_angle_beta 90.00
_cell_angle_gamma 90.00
loop_
_space_group_symop_operation_xyz
'x,y,z'
'-x,-y,-z'
'-y+1/2,x,z'
'y+1/2,-x,-z'
'-x+1/2,-y+1/2,z'
'x+1/2,y+1/2,-z'
'y,-x+1/2,z'
'-y,x+1/2,-z'
'x+1/2,-y,-z'
'-x+1/2,y,z'
'-y,-x,-z'
'y,x,z'
'-x,y+1/2,-z'
'x,-y+1/2,z'
'y+1/2,x+1/2,-z'
'-y+1/2,-x+1/2,z'
loop_
_atom_site_label
_atom_site_type_symbol
_atom_site_fract_x
_atom_site_fract_y
_atom_site_fract_z
_atom_site_occupancy
Nd1 Nd 0.2500 0.2500 0.1329 1
Nd2 Nd 0.2500 0.7500 0.5000 1
Se1 Se 0.2500 0.2500 0.7771 1
```


# 7
Calculated PXRD pattern
Compound: NdSe
Radiation: a wavelength of 1.5418 Å
Structure: a DFT-relaxed cell (PBE, OQMD)

Principal peaks in the range 10 to 90 degrees two-theta, low angle first:
two_theta, Rel. int., hkl
25.83, 16, 1 1 1
29.91, 100, 2 0 0
42.81, 75, 2 2 0
50.68, 8, 3 1 1
53.11, 26, 2 2 2
62.15, 12, 4 0 0
68.46, 3, 3 3 1
70.49, 34, 4 2 0
78.42, 25, 4 2 2
84.22, 2, 5 1 1

Cell and atoms:
```
data_NdSe
_chemical_formula_sum 'Nd4 Se4'
_space_group_name_H-M_alt 'F m -3 m'
_space_group_IT_number 225
_space_group_name_Hall '-F 4 2 3'
_cell_length_a 5.9740
_cell_length_b 5.9740
_cell_length_c 5.9740
_cell_angle_alpha 90.00
_cell_angle_beta 90.00
_cell_angle_gamma 90.00
loop_
_atom_site_label
_atom_site_type_symbol
_atom_site_fract_x
_atom_site_fract_y
_atom_site_fract_z
_atom_site_occupancy
Nd1 Nd 0.0000 0.0000 0.0000 1
Se1 Se 0.0000 0.0000 0.5000 1
```


# 8
Calculated PXRD pattern
Compound: Nd4Sm4Se3
Radiation: a wavelength of 1.5418 Å
Structure: a DFT-relaxed cell (PBE, OQMD)

Principal peaks in the range 10 to 90 degrees two-theta, low angle first:
two_theta, Rel. int., hkl
25.03, 17, 0 1 1
26.95, 36, 2 0 4
31.82, 14, 0 0 6
32.94, 9, 1 0 6
33.62, 32, 4 0 0
33.81, 100, 2 1 3
45.12, 12, 0 1 7
50.13, 12, 0 2 0
60.24, 14, 6 1 3
61.72, 12, 4 2 0

Cell and atoms:
```
data_Nd4Sm4Se3
_chemical_formula_sum 'Nd8 Sm8 Se6'
_space_group_name_H-M_alt 'A m m 2'
_space_group_IT_number 38
_space_group_name_Hall 'A 2 -2'
_cell_length_a 10.6629
_cell_length_b 3.6395
_cell_length_c 16.8762
_cell_angle_alpha 90.00
_cell_angle_beta 90.00
_cell_angle_gamma 90.00
loop_
_atom_site_label
_atom_site_type_symbol
_atom_site_fract_x
_atom_site_fract_y
_atom_site_fract_z
_atom_site_occupancy
Nd1 Nd 0.0000 0.0000 0.0000 1
Nd2 Nd 0.2314 0.0000 0.8442 1
Nd3 Nd 0.5000 0.0000 0.9818 1
Sm1 Sm 0.0000 0.0000 0.6949 1
Sm2 Sm 0.2740 0.0000 0.1379 1
Sm3 Sm 0.5000 0.0000 0.7437 1
Se1 Se 0.0000 0.0000 0.3458 1
Se2 Se 0.2625 0.0000 0.4891 1
```


# 9
Calculated PXRD pattern
Compound: Nd2Sm2Se7
Radiation: a wavelength of 1.5418 Å
Structure: a DFT-relaxed cell (PBE, OQMD)

Principal peaks in the range 10 to 90 degrees two-theta, low angle first:
two_theta, Rel. int., hkl
21.10, 48, 2 0 2
28.36, 100, 0 1 3
33.08, 51, 2 1 3
33.71, 24, 4 0 0
40.37, 22, 4 1 1
41.85, 26, 0 2 0
42.44, 39, 2 1 5
42.88, 31, 2 0 6
44.61, 25, 4 1 3
61.46, 21, 2 2 6

Cell and atoms:
```
data_Nd2Sm2Se7
_chemical_formula_sum 'Nd4 Sm4 Se14'
_space_group_name_H-M_alt 'A m m 2'
_space_group_IT_number 38
_space_group_name_Hall 'A 2 -2'
_cell_length_a 10.6360
_cell_length_b 4.3174
_cell_length_c 13.7908
_cell_angle_alpha 90.00
_cell_angle_beta 90.00
_cell_angle_gamma 90.00
loop_
_atom_site_label
_atom_site_type_symbol
_atom_site_fract_x
_atom_site_fract_y
_atom_site_fract_z
_atom_site_occupancy
Nd1 Nd 0.0000 0.0000 0.0000 1
Nd2 Nd 0.5000 0.0000 0.0062 1
Sm1 Sm 0.2427 0.0000 0.7238 1
Se1 Se 0.0000 0.0000 0.3490 1
Se2 Se 0.0000 0.0000 0.6403 1
Se3 Se 0.2484 0.0000 0.0852 1
Se4 Se 0.3841 0.0000 0.3631 1
Se5 Se 0.5000 0.0000 0.6517 1
```


# 10
Calculated PXRD pattern
Compound: Tb2NdSe3
Radiation: a wavelength of 1.5418 Å
Structure: a DFT-relaxed cell (PBE, OQMD)

Principal peaks in the range 10 to 90 degrees two-theta, low angle first:
two_theta, Rel. int., hkl
26.48, 14, 1 0 1
30.60, 100, 0 1 2
43.68, 37, 1 0 4
43.96, 37, 1 1 0
54.51, 19, 2 0 2
63.71, 12, 0 2 4
72.12, 16, 1 1 6
72.53, 17, 1 2 2
80.64, 12, 2 1 4
80.84, 7, 3 0 0

Cell and atoms:
```
data_Tb2NdSe3
_chemical_formula_sum 'Tb2 Nd1 Se3'
_space_group_name_H-M_alt 'P -3 m 1'
_space_group_IT_number 164
_space_group_name_Hall '-P 3 2"'
_cell_length_a 4.1190
_cell_length_b 4.1190
_cell_length_c 10.1826
_cell_angle_alpha 90.00
_cell_angle_beta 90.00
_cell_angle_gamma 120.00
loop_
_atom_site_label
_atom_site_type_symbol
_atom_site_fract_x
_atom_site_fract_y
_atom_site_fract_z
_atom_site_occupancy
Tb1 Tb 0.3333 0.6667 0.1639 1
Nd1 Nd 0.0000 0.0000 0.5000 1
Se1 Se 0.0000 0.0000 0.0000 1
Se2 Se 0.3333 0.6667 0.6769 1
```


# 11
Calculated PXRD pattern
Compound: Nd2TmSe3
Radiation: a wavelength of 1.5418 Å
Structure: a DFT-relaxed cell (PBE, OQMD)

Principal peaks in the range 10 to 90 degrees two-theta, low angle first:
two_theta, Rel. int., hkl
26.42, 14, 1 0 1
30.44, 100, 0 1 2
43.26, 37, 1 0 4
43.93, 37, 1 1 0
53.25, 6, 0 0 6
54.38, 19, 2 0 2
63.35, 12, 0 2 4
71.42, 16, 1 1 6
72.39, 16, 1 2 2
80.29, 12, 2 1 4

Cell and atoms:
```
data_Nd2TmSe3
_chemical_formula_sum 'Nd2 Tm1 Se3'
_space_group_name_H-M_alt 'P -3 m 1'
_space_group_IT_number 164
_space_group_name_Hall '-P 3 2"'
_cell_length_a 4.1225
_cell_length_b 4.1225
_cell_length_c 10.3219
_cell_angle_alpha 90.00
_cell_angle_beta 90.00
_cell_angle_gamma 120.00
loop_
_atom_site_label
_atom_site_type_symbol
_atom_site_fract_x
_atom_site_fract_y
_atom_site_fract_z
_atom_site_occupancy
Nd1 Nd 0.3333 0.6667 0.1701 1
Tm1 Tm 0.0000 0.0000 0.5000 1
Se1 Se 0.0000 0.0000 0.0000 1
Se2 Se 0.3333 0.6667 0.6511 1
```


# 12
Calculated PXRD pattern
Compound: Nd5Si4
Radiation: a wavelength of 1.5418 Å
Structure: a DFT-relaxed cell (PBE, OQMD)

Principal peaks in the range 10 to 90 degrees two-theta, low angle first:
two_theta, Rel. int., hkl
25.46, 30, 2 0 2
26.14, 32, 1 0 4
28.52, 32, 1 1 4
28.73, 34, 2 0 3
30.93, 73, 2 1 3
32.62, 100, 2 2 1
33.72, 46, 1 1 5
36.14, 46, 3 0 2
47.62, 32, 4 0 2
51.54, 40, 3 1 6

Cell and atoms:
```
data_Nd5Si4
_chemical_formula_sum 'Nd20 Si16'
_space_group_name_H-M_alt 'P 41 21 2'
_space_group_IT_number 92
_space_group_name_Hall 'P 4abw 2nw'
_cell_length_a 7.8948
_cell_length_b 7.8948
_cell_length_c 15.1153
_cell_angle_alpha 90.00
_cell_angle_beta 90.00
_cell_angle_gamma 90.00
loop_
_atom_site_label
_atom_site_type_symbol
_atom_site_fract_x
_atom_site_fract_y
_atom_site_fract_z
_atom_site_occupancy
Nd1 Nd 0.0107 0.3763 0.0514 1
Nd2 Nd 0.0186 0.8719 0.1242 1
Nd3 Nd 0.1903 0.8097 0.7500 1
Si1 Si 0.0760 0.7114 0.9403 1
Si2 Si 0.1681 0.1958 0.7993 1
```


# 13
Calculated PXRD pattern
Compound: Nd2SmZn4Si4
Radiation: a wavelength of 1.5418 Å
Structure: a DFT-relaxed cell (PBE, OQMD)

Principal peaks in the range 10 to 90 degrees two-theta, low angle first:
two_theta, Rel. int., hkl
23.94, 25, 0 1 3
33.30, 44, 1 0 7
33.78, 100, 1 1 4
43.46, 19, 0 2 0
43.69, 19, 2 0 0
45.85, 22, 0 1 11
55.84, 17, 1 2 7
63.32, 12, 2 2 0
65.18, 13, 2 1 11
73.59, 14, 1 3 4

Cell and atoms:
```
data_Nd2SmZn4Si4
_chemical_formula_sum 'Nd4 Sm2 Zn8 Si8'
_space_group_name_H-M_alt 'I m m m'
_space_group_IT_number 71
_space_group_name_Hall '-I 2 2'
_cell_length_a 4.1441
_cell_length_b 4.1642
_cell_length_c 24.7473
_cell_angle_alpha 90.00
_cell_angle_beta 90.00
_cell_angle_gamma 90.00
loop_
_atom_site_label
_atom_site_type_symbol
_atom_site_fract_x
_atom_site_fract_y
_atom_site_fract_z
_atom_site_occupancy
Nd1 Nd 0.0000 0.0000 0.1445 1
Sm1 Sm 0.0000 0.5000 0.0000 1
Zn1 Zn 0.0000 0.0000 0.4060 1
Zn2 Zn 0.0000 0.5000 0.2500 1
Si1 Si 0.0000 0.0000 0.3094 1
Si2 Si 0.0000 0.5000 0.4527 1
```